[1]
Er4Ga12Re: computed powder X-ray diffraction pattern (Cu Kα (weighted mean of Kα1 and Kα2)), based on the GGA-PBE geometry in Alexandria.
Neutral-atom scattering factors, no anomalous dispersion.

Atomic structure:
```
data_Er4Ga12Re
_chemical_formula_sum 'Er8 Ga24 Re2'
_space_group_name_H-M_alt 'I m -3 m'
_space_group_IT_number 229
_space_group_name_Hall '-I 4 2 3'
_cell_length_a 8.6002
_cell_length_b 8.6002
_cell_length_c 8.6002
_cell_angle_alpha 90.00
_cell_angle_beta 90.00
_cell_angle_gamma 90.00
loop_
_atom_site_label
_atom_site_type_symbol
_atom_site_fract_x
_atom_site_fract_y
_atom_site_fract_z
Er1 Er 0.2500 0.2500 0.2500
Ga1 Ga 0.0000 0.0000 0.2925
Ga2 Ga 0.0000 0.2500 0.5000
Re1 Re 0.0000 0.0000 0.0000
```

Most intense lines, 2θ = 5–70°, sorted by position:
| 2theta | I (rel.) |
| --- | --- |
| 14.57 | 9 |
| 25.37 | 7 |
| 29.37 | 54 |
| 32.93 | 14 |
| 36.18 | 100 |
| 39.19 | 21 |
| 42.02 | 80 |
| 44.71 | 8 |
| 49.73 | 12 |
| 52.10 | 17 |
| 60.94 | 48 |
| 69.07 | 14 |

=====

[2]
Er8Sn2Pd: computed powder X-ray diffraction pattern (Cu Kα (weighted mean of Kα1 and Kα2)), based on the GGA-PBE geometry in Alexandria.
Neutral-atom scattering factors, no anomalous dispersion.

Atomic structure:
```
data_Er8Sn2Pd
_chemical_formula_sum 'Er16 Sn4 Pd2'
_space_group_name_H-M_alt 'C 1 2/m 1'
_space_group_IT_number 12
_cell_length_a 18.9558
_cell_length_b 4.9398
_cell_length_c 6.6669
_cell_angle_alpha 90.00
_cell_angle_beta 103.29
_cell_angle_gamma 90.00
loop_
_space_group_symop_operation_xyz
'x,y,z'
'-x,-y,-z'
'-x,y,-z'
'x,-y,z'
'x+1/2,y+1/2,z'
'-x+1/2,-y+1/2,-z'
'-x+1/2,y+1/2,-z'
'x+1/2,-y+1/2,z'
loop_
_atom_site_label
_atom_site_type_symbol
_atom_site_fract_x
_atom_site_fract_y
_atom_site_fract_z
Er1 Er 0.0182 0.0000 0.2756
Er2 Er 0.0919 0.5000 0.9743
Er3 Er 0.1475 0.5000 0.5042
Er4 Er 0.2164 0.0000 0.8227
Sn1 Sn 0.1830 0.0000 0.2640
Pd1 Pd 0.0000 0.5000 0.5000
```

Most intense lines, 2θ = 5–70°, sorted by position:
| 2theta | I (rel.) |
| --- | --- |
| 28.61 | 30 |
| 29.14 | 19 |
| 29.81 | 17 |
| 30.23 | 74 |
| 32.44 | 100 |
| 33.46 | 19 |
| 34.34 | 30 |
| 35.05 | 18 |
| 36.37 | 63 |
| 37.38 | 16 |
| 38.38 | 35 |
| 64.52 | 22 |

=====

[3]
Mn3W4: computed powder X-ray diffraction pattern (Cu Kα (weighted mean of Kα1 and Kα2)), based on the GGA-PBE geometry in Alexandria.
Neutral-atom scattering factors, no anomalous dispersion.

Atomic structure:
```
data_Mn3W4
_chemical_formula_sum 'Mn3 W4'
_space_group_name_H-M_alt 'P 6/m m m'
_space_group_IT_number 191
_space_group_name_Hall '-P 6 2'
_cell_length_a 4.8003
_cell_length_b 4.8003
_cell_length_c 4.9134
_cell_angle_alpha 90.00
_cell_angle_beta 90.00
_cell_angle_gamma 120.00
loop_
_atom_site_label
_atom_site_type_symbol
_atom_site_fract_x
_atom_site_fract_y
_atom_site_fract_z
Mn1 Mn 0.0000 0.5000 0.0000
W1 W 0.0000 0.0000 0.2509
W2 W 0.3333 0.6667 0.5000
```

Most intense lines, 2θ = 5–70°, sorted by position:
| 2theta | I (rel.) |
| --- | --- |
| 18.05 | 15 |
| 21.37 | 13 |
| 28.12 | 13 |
| 37.47 | 90 |
| 41.89 | 52 |
| 42.75 | 100 |
| 43.54 | 16 |
| 47.49 | 24 |
| 58.13 | 17 |
| 62.01 | 3 |
| 67.60 | 16 |
| 69.48 | 11 |

=====

[4]
Ca3SnPt3: computed powder X-ray diffraction pattern (Cu Kα (weighted mean of Kα1 and Kα2)), based on the GGA-PBE geometry in Alexandria.
Neutral-atom scattering factors, no anomalous dispersion.

Atomic structure:
```
data_Ca3SnPt3
_chemical_formula_sum 'Ca12 Sn4 Pt12'
_space_group_name_H-M_alt 'C m c m'
_space_group_IT_number 63
_space_group_name_Hall '-C 2c 2'
_cell_length_a 4.4299
_cell_length_b 10.5721
_cell_length_c 14.0300
_cell_angle_alpha 90.00
_cell_angle_beta 90.00
_cell_angle_gamma 90.00
loop_
_atom_site_label
_atom_site_type_symbol
_atom_site_fract_x
_atom_site_fract_y
_atom_site_fract_z
Ca1 Ca 0.0000 0.0104 0.2500
Ca2 Ca 0.0000 0.2926 0.1063
Sn1 Sn 0.0000 0.0000 0.0000
Pt1 Pt 0.0000 0.2792 0.7500
Pt2 Pt 0.0000 0.4143 0.5910
```

Most intense lines, 2θ = 5–70°, sorted by position:
| 2theta | I (rel.) |
| --- | --- |
| 17.93 | 46 |
| 21.04 | 60 |
| 21.75 | 28 |
| 22.67 | 58 |
| 32.47 | 24 |
| 33.68 | 50 |
| 37.87 | 100 |
| 38.50 | 19 |
| 39.15 | 31 |
| 40.74 | 38 |
| 44.65 | 35 |
| 57.77 | 22 |